# HoEr6Tm6
Simulated PXRD pattern, Cu Kα X-rays. Input: a structure optimized by DFT (PBE).
Lines closer than 0.1° are merged.

Principal peaks in the range 2θ = 10–90°, by intensity:
34.9°, intensity 100; 29.7°, intensity 78; 30.6°, intensity 49; 30.7°, intensity 43; 32.7°, intensity 40; 36.0°, intensity 31; 32.3°, intensity 28; 33.1°, intensity 28

Crystal structure
Cell: 6.4779 6.4779 10.8210 Å, 90.00 90.00 115.43°
Sites, in units of the cell vectors:
Ho: 0.0000 0.0000 0.0000
Er: 0.0000 0.0000 0.3328
Er: 0.0000 0.0000 0.6672
Er: 0.2612 0.7388 0.5000
Er: 0.3559 0.6441 0.0000
Er: 0.6441 0.3559 0.0000
Er: 0.7388 0.2612 0.5000
Tm: 0.0000 0.5000 0.2251
Tm: 0.0000 0.5000 0.7749
Tm: 0.5000 0.0000 0.2251
Tm: 0.5000 0.0000 0.7749
Tm: 0.5000 0.5000 0.3027
Tm: 0.5000 0.5000 0.6973